# 1
Pa4PRh12: computed powder X-ray diffraction pattern (Cu Kα X-rays), based on a DFT-relaxed cell (GGA-PBE, Alexandria).

Structure:
```
data_Pa4PRh12
_chemical_formula_sum 'Pa8 P2 Rh24'
_symmetry_space_group_name_H-M 'I m -3 m'
_symmetry_Int_Tables_number 229
_symmetry_space_group_name_Hall '-I 4 2 3'
_cell_length_a 8.2726
_cell_length_b 8.2726
_cell_length_c 8.2726
_cell_angle_alpha 90.00
_cell_angle_beta 90.00
_cell_angle_gamma 90.00
loop_
_atom_site_label
_atom_site_type_symbol
_atom_site_fract_x
_atom_site_fract_y
_atom_site_fract_z
Pa1 Pa 0.2500 0.2500 0.2500
P1 P 0.0000 0.0000 0.0000
Rh1 Rh 0.0000 0.0000 0.2713
Rh2 Rh 0.0000 0.2500 0.5000
```

Top 10 peaks for 10° ≤ 2θ ≤ 80°, most intense first:
h k l	two_theta	Rel. int.
2 2 2	37.7	100
4 0 0	43.8	52
6 2 2	76.4	36
4 4 0	63.6	33
2 2 0	30.6	16
2 0 0	21.5	12
4 2 0	49.3	7
4 2 2	54.3	6
4 4 2	68.0	4
6 2 0	72.2	4

# 2
PaP3Rh2: computed powder X-ray diffraction pattern (Cu Kα X-rays), based on a DFT-relaxed cell (GGA-PBE, Alexandria).

Structure:
```
data_PaP3Rh2
_chemical_formula_sum 'Pa2 P6 Rh4'
_symmetry_space_group_name_H-M 'P m m n'
_symmetry_Int_Tables_number 59
_cell_length_a 4.6273
_cell_length_b 11.8322
_cell_length_c 3.7570
_cell_angle_alpha 90.00
_cell_angle_beta 90.00
_cell_angle_gamma 90.00
loop_
_symmetry_equiv_pos_as_xyz
'x,y,z'
'-x,-y,-z'
'-x+1/2,-y+1/2,z'
'x+1/2,y+1/2,-z'
'x+1/2,-y,-z'
'-x+1/2,y,z'
'-x,y+1/2,-z'
'x,-y+1/2,z'
loop_
_atom_site_label
_atom_site_type_symbol
_atom_site_fract_x
_atom_site_fract_y
_atom_site_fract_z
Pa1 Pa 0.2500 0.2500 0.1808
P1 P 0.2500 0.0711 0.6804
P2 P 0.2500 0.7500 0.2965
Rh1 Rh 0.2500 0.5449 0.1810
```

Top 10 peaks for 10° ≤ 2θ ≤ 80°, most intense first:
h k l	two_theta	Rel. int.
1 0 1	30.7	100
0 3 1	32.9	84
1 3 0	29.8	67
1 4 1	43.6	60
2 0 0	38.9	53
1 1 0	20.6	49
2 3 1	51.9	47
0 4 0	30.2	42
1 3 1	38.4	30
1 7 0	58.1	24

# 3
Pa2P7Rh12: computed powder X-ray diffraction pattern (Cu Kα X-rays), based on a DFT-relaxed cell (GGA-PBE, Alexandria).

Structure:
```
data_Pa2P7Rh12
_chemical_formula_sum 'Pa2 P7 Rh12'
_symmetry_space_group_name_H-M 'P -3'
_symmetry_Int_Tables_number 147
_symmetry_space_group_name_Hall '-P 3'
_cell_length_a 9.6654
_cell_length_b 9.6654
_cell_length_c 3.8584
_cell_angle_alpha 90.00
_cell_angle_beta 90.00
_cell_angle_gamma 120.00
loop_
_atom_site_label
_atom_site_type_symbol
_atom_site_fract_x
_atom_site_fract_y
_atom_site_fract_z
Pa1 Pa 0.3333 0.6667 0.2468
P1 P 0.0000 0.0000 0.0000
P2 P 0.1156 0.4001 0.7459
Rh1 Rh 0.0761 0.6191 0.7489
Rh2 Rh 0.1125 0.8511 0.2511
```

Top 10 peaks for 10° ≤ 2θ ≤ 80°, most intense first:
h k l	two_theta	Rel. int.
1 2 1	36.7	100
4 1 0	49.9	19
1 2 0	28.2	15
0 0 2	47.1	13
4 1 2	71.1	12
2 2 0	37.2	11
6 -2 1	63.6	9
0 1 1	25.4	7
1 2 2	55.8	6
4 0 0	43.2	6

# 4
Pa3P4Ru2Rh2: computed powder X-ray diffraction pattern (Cu Kα X-rays), based on a DFT-relaxed cell (GGA-PBE, Alexandria).

Structure:
```
data_Pa3P4Ru2Rh2
_chemical_formula_sum 'Pa3 P4 Ru2 Rh2'
_symmetry_space_group_name_H-M 'P -3 m 1'
_symmetry_Int_Tables_number 164
_symmetry_space_group_name_Hall '-P 3 2"'
_cell_length_a 4.0495
_cell_length_b 4.0495
_cell_length_c 13.9184
_cell_angle_alpha 90.00
_cell_angle_beta 90.00
_cell_angle_gamma 120.00
loop_
_atom_site_label
_atom_site_type_symbol
_atom_site_fract_x
_atom_site_fract_y
_atom_site_fract_z
Pa1 Pa 0.0000 0.0000 0.0000
Pa2 Pa 0.0000 0.0000 0.2692
P1 P 0.3333 0.6667 0.3952
P2 P 0.3333 0.6667 0.8744
Ru1 Ru 0.3333 0.6667 0.1512
Rh1 Rh 0.3333 0.6667 0.5658
```

Top 10 peaks for 10° ≤ 2θ ≤ 80°, most intense first:
h k l	two_theta	Rel. int.
0 1 4	36.4	100
1 1 0	44.8	69
1 0 3	32.0	68
1 0 2	28.5	33
1 0 0	25.4	33
1 1 7	65.8	30
2 0 4	59.0	25
1 2 4	77.0	23
0 1 1	26.2	19
0 0 7	45.6	15

# 5
Pa2SiPRh6: computed powder X-ray diffraction pattern (Cu Kα X-rays), based on a DFT-relaxed cell (GGA-PBE, Alexandria).

Structure:
```
data_Pa2SiPRh6
_chemical_formula_sum 'Pa4 Si2 P2 Rh12'
_symmetry_space_group_name_H-M 'P m m n'
_symmetry_Int_Tables_number 59
_cell_length_a 5.5256
_cell_length_b 8.4154
_cell_length_c 7.6313
_cell_angle_alpha 90.00
_cell_angle_beta 90.00
_cell_angle_gamma 90.00
loop_
_symmetry_equiv_pos_as_xyz
'x,y,z'
'-x,-y,-z'
'-x+1/2,-y+1/2,z'
'x+1/2,y+1/2,-z'
'x+1/2,-y,-z'
'-x+1/2,y,z'
'-x,y+1/2,-z'
'x,-y+1/2,z'
loop_
_atom_site_label
_atom_site_type_symbol
_atom_site_fract_x
_atom_site_fract_y
_atom_site_fract_z
Pa1 Pa 0.2500 0.0128 0.2375
Si1 Si 0.2500 0.7500 0.7693
P1 P 0.2500 0.2500 0.7440
Rh1 Rh 0.0020 0.7500 0.0198
Rh2 Rh 0.0027 0.2500 0.4915
Rh3 Rh 0.2500 0.9998 0.6175
```

Top 10 peaks for 10° ≤ 2θ ≤ 80°, most intense first:
h k l	two_theta	Rel. int.
2 2 0	39.0	100
0 2 2	31.7	79
2 0 2	40.3	55
1 2 3	44.7	45
1 2 1	29.1	42
0 4 0	43.0	35
2 4 2	60.4	32
1 0 1	19.8	23
2 2 4	63.2	16
1 2 2	35.7	15

# 6
PaSn2P2Rh7: computed powder X-ray diffraction pattern (Cu Kα X-rays), based on a DFT-relaxed cell (GGA-PBE, Alexandria).

Structure:
```
data_PaSn2P2Rh7
_chemical_formula_sum 'Pa2 Sn4 P4 Rh14'
_symmetry_space_group_name_H-M 'C 1 2/m 1'
_symmetry_Int_Tables_number 12
_symmetry_space_group_name_Hall '-C 2y'
_cell_length_a 5.6139
_cell_length_b 5.5750
_cell_length_c 13.5831
_cell_angle_alpha 90.00
_cell_angle_beta 99.23
_cell_angle_gamma 90.00
loop_
_atom_site_label
_atom_site_type_symbol
_atom_site_fract_x
_atom_site_fract_y
_atom_site_fract_z
Pa1 Pa 0.0000 0.0000 0.0000
Sn1 Sn 0.1071 0.0000 0.3890
P1 P 0.0951 0.5000 0.2496
Rh1 Rh 0.0000 0.5000 0.0000
Rh2 Rh 0.1308 0.5000 0.4195
Rh3 Rh 0.1869 0.2493 0.8395
```

Top 10 peaks for 10° ≤ 2θ ≤ 80°, most intense first:
h k l	two_theta	Rel. int.
0 2 3	38.0	100
2 0 2	37.0	92
2 2 -1	45.9	83
2 0 -3	35.3	80
0 0 5	33.4	73
0 2 2	34.9	63
0 0 2	13.2	47
2 2 0	46.2	37
2 4 2	79.3	33
2 0 -5	43.0	33

# 7
Pa2P2Ru5: computed powder X-ray diffraction pattern (Cu Kα X-rays), based on a DFT-relaxed cell (GGA-PBE, Alexandria).

Structure:
```
data_Pa2P2Ru5
_chemical_formula_sum 'Pa2 P2 Ru5'
_symmetry_space_group_name_H-M 'P 4/m m m'
_symmetry_Int_Tables_number 123
_symmetry_space_group_name_Hall '-P 4 2'
_cell_length_a 4.1036
_cell_length_b 4.1036
_cell_length_c 8.6512
_cell_angle_alpha 90.00
_cell_angle_beta 90.00
_cell_angle_gamma 90.00
loop_
_atom_site_label
_atom_site_type_symbol
_atom_site_fract_x
_atom_site_fract_y
_atom_site_fract_z
Pa1 Pa 0.0000 0.0000 0.0000
Pa2 Pa 0.0000 0.0000 0.5000
P1 P 0.5000 0.5000 0.1359
Ru1 Ru 0.0000 0.5000 0.2607
Ru2 Ru 0.5000 0.5000 0.5000
```

Top 10 peaks for 10° ≤ 2θ ≤ 80°, most intense first:
h k l	two_theta	Rel. int.
1 1 2	37.3	100
2 0 0	44.1	36
3 1 2	76.7	25
1 0 2	30.0	25
2 0 4	62.4	20
1 0 0	21.7	17
0 0 4	41.8	16
1 1 6	73.3	14
2 2 0	64.2	12
2 1 2	54.3	10

# 8
PaP6Ru12: computed powder X-ray diffraction pattern (Cu Kα X-rays), based on a DFT-relaxed cell (GGA-PBE, Alexandria).

Structure:
```
data_PaP6Ru12
_chemical_formula_sum 'Pa3 P18 Ru36'
_symmetry_space_group_name_H-M 'R -3 m'
_symmetry_Int_Tables_number 166
_symmetry_space_group_name_Hall '-R 3 2"'
_cell_length_a 10.8728
_cell_length_b 10.8728
_cell_length_c 8.2128
_cell_angle_alpha 90.00
_cell_angle_beta 90.00
_cell_angle_gamma 120.00
loop_
_atom_site_label
_atom_site_type_symbol
_atom_site_fract_x
_atom_site_fract_y
_atom_site_fract_z
Pa1 Pa 0.0000 0.0000 0.0000
P1 P 0.0415 0.5207 0.2831
Ru1 Ru 0.0000 0.3651 0.5000
Ru2 Ru 0.0842 0.1685 0.3562
```

Top 10 peaks for 10° ≤ 2θ ≤ 80°, most intense first:
h k l	two_theta	Rel. int.
1 3 1	36.1	100
1 1 3	36.8	62
3 0 0	28.4	32
5 0 2	53.5	31
3 1 2	41.0	26
3 0 3	43.9	26
3 3 0	50.4	22
2 0 2	28.9	18
4 4 3	78.6	16
2 1 1	27.3	14

Repeat the second record exactly.
PaP3Rh2: computed powder X-ray diffraction pattern (Cu Kα X-rays), based on a DFT-relaxed cell (GGA-PBE, Alexandria).

Structure:
```
data_PaP3Rh2
_chemical_formula_sum 'Pa2 P6 Rh4'
_symmetry_space_group_name_H-M 'P m m n'
_symmetry_Int_Tables_number 59
_cell_length_a 4.6273
_cell_length_b 11.8322
_cell_length_c 3.7570
_cell_angle_alpha 90.00
_cell_angle_beta 90.00
_cell_angle_gamma 90.00
loop_
_symmetry_equiv_pos_as_xyz
'x,y,z'
'-x,-y,-z'
'-x+1/2,-y+1/2,z'
'x+1/2,y+1/2,-z'
'x+1/2,-y,-z'
'-x+1/2,y,z'
'-x,y+1/2,-z'
'x,-y+1/2,z'
loop_
_atom_site_label
_atom_site_type_symbol
_atom_site_fract_x
_atom_site_fract_y
_atom_site_fract_z
Pa1 Pa 0.2500 0.2500 0.1808
P1 P 0.2500 0.0711 0.6804
P2 P 0.2500 0.7500 0.2965
Rh1 Rh 0.2500 0.5449 0.1810
```

Top 10 peaks for 10° ≤ 2θ ≤ 80°, most intense first:
h k l	two_theta	Rel. int.
1 0 1	30.7	100
0 3 1	32.9	84
1 3 0	29.8	67
1 4 1	43.6	60
2 0 0	38.9	53
1 1 0	20.6	49
2 3 1	51.9	47
0 4 0	30.2	42
1 3 1	38.4	30
1 7 0	58.1	24